For Li3Ti8O16, a PBE-relaxed structure gives the theoretical powder XRD pattern in this record (Cu Kα X-rays).
No peak broadening, texture or thermal motion is included.

Most intense lines, 10 to 90 degrees two-theta, in order of rising 2θ:
- (1 0 1), d = 4.884 Å, 2θ = 18.2°, I 100
- (2 1 1), d = 2.551 Å, 2θ = 35.2°, I 40
- (2 2 0), d = 2.115 Å, 2θ = 42.8°, I 57
- (3 0 1), d = 1.941 Å, 2θ = 46.8°, I 8
- (1 0 5), d = 1.628 Å, 2θ = 56.5°, I 19
- (4 0 0), d = 1.496 Å, 2θ = 62.1°, I 33
- (2 1 5), d = 1.430 Å, 2θ = 65.2°, I 13
- (4 0 4), d = 1.221 Å, 2θ = 78.3°, I 8
- (5 0 1), d = 1.185 Å, 2θ = 81.2°, I 7
- (4 1 5), d = 1.101 Å, 2θ = 88.8°, I 6

Atomic structure:
Cell lengths 5.980, 5.980, 8.465 Å; angles 90.00, 90.00, 90.00 degrees
Element x y z (fractional)
Li 0.000 0.000 0.000
Li 0.000 0.500 0.253
Li 0.500 0.000 0.747
Ti 0.000 0.254 0.624
Ti 0.000 0.746 0.624
Ti 0.251 0.500 0.872
Ti 0.254 0.000 0.376
Ti 0.500 0.251 0.128
Ti 0.500 0.749 0.128
Ti 0.746 0.000 0.376
Ti 0.749 0.500 0.872
O 0.000 0.224 0.388
O 0.000 0.274 0.863
O 0.000 0.726 0.863
O 0.000 0.776 0.388
O 0.219 0.500 0.642
O 0.224 0.000 0.612
O 0.274 0.000 0.137
O 0.275 0.500 0.112
O 0.500 0.219 0.358
O 0.500 0.275 0.888
O 0.500 0.725 0.888
O 0.500 0.781 0.358
O 0.725 0.500 0.112
O 0.726 0.000 0.137
O 0.776 0.000 0.612
O 0.781 0.500 0.642

For Li3Ti8O16, a PBE-relaxed structure gives the theoretical powder XRD pattern in this record (Cu Kα X-rays).
No peak broadening, texture or thermal motion is included.

Most intense lines, 10 to 90 degrees two-theta, in order of rising 2θ:
- (1 0 1), d = 4.885 Å, 2θ = 18.2°, I 100
- (2 2 1), d = 2.551 Å, 2θ = 35.2°, I 40
- (2 4 0), d = 2.115 Å, 2θ = 42.7°, I 57
- (3 0 1), d = 1.941 Å, 2θ = 46.8°, I 8
- (0 2 5), d = 1.628 Å, 2θ = 56.5°, I 19
- (4 0 0), d = 1.496 Å, 2θ = 62.0°, I 33
- (2 2 5), d = 1.430 Å, 2θ = 65.2°, I 13
- (4 0 4), d = 1.221 Å, 2θ = 78.3°, I 8
- (2 6 5), d = 1.185 Å, 2θ = 81.2°, I 7
- (4 2 5), d = 1.102 Å, 2θ = 88.8°, I 6

Atomic structure:
Cell lengths 5.981, 11.963, 8.468 Å; angles 90.00, 90.00, 90.00 degrees
Element x y z (fractional)
Li 0.250 0.003 0.126
Li 0.250 0.497 0.126
Li 0.250 0.750 0.379
Li 0.750 0.250 0.621
Li 0.750 0.503 0.874
Li 0.750 0.997 0.874
Ti 0.000 0.000 0.500
Ti 0.000 0.500 0.500
Ti 0.001 0.250 0.001
Ti 0.250 0.126 0.745
Ti 0.250 0.374 0.745
Ti 0.250 0.627 0.751
Ti 0.250 0.873 0.751
Ti 0.499 0.250 0.001
Ti 0.500 0.000 0.500
Ti 0.500 0.500 0.500
Ti 0.501 0.750 0.999
Ti 0.750 0.127 0.249
Ti 0.750 0.373 0.249
Ti 0.750 0.626 0.255
Ti 0.750 0.874 0.255
Ti 0.999 0.750 0.999
O 0.025 0.000 0.737
O 0.025 0.500 0.737
O 0.026 0.250 0.762
O 0.031 0.750 0.769
O 0.250 0.108 0.516
O 0.250 0.138 0.985
O 0.250 0.362 0.985
O 0.250 0.392 0.516
O 0.250 0.613 0.514
O 0.250 0.637 0.990
O 0.250 0.863 0.990
O 0.250 0.887 0.514
O 0.469 0.750 0.769
O 0.474 0.250 0.762
O 0.475 0.000 0.737
O 0.475 0.500 0.737
O 0.525 0.000 0.263
O 0.525 0.500 0.263
O 0.526 0.750 0.238
O 0.531 0.250 0.231
O 0.750 0.113 0.486
O 0.750 0.137 0.010
O 0.750 0.363 0.010
O 0.750 0.387 0.486
O 0.750 0.608 0.484
O 0.750 0.638 0.015
O 0.750 0.862 0.015
O 0.750 0.892 0.484
O 0.969 0.250 0.231
O 0.974 0.750 0.238
O 0.975 0.000 0.263
O 0.975 0.500 0.263